The following is a calculated powder diffractogram of Ca7SnN6. It was derived from a structure optimized by DFT (GGA-PBE), using λ = 1.5418 Å (Cu Kα).

Largest 10 diffraction maxima, low angle first, 2θ = 10–90°:
- 13.86 deg, d = 6.388 Å, I = 17
- 15.77 deg, d = 5.618 Å, I = 22
- 20.45 deg, d = 4.344 Å, I = 21
- 21.06 deg, d = 4.219 Å, I = 49
- 30.17 deg, d = 2.962 Å, I = 23
- 31.34 deg, d = 2.854 Å, I = 30
- 31.83 deg, d = 2.811 Å, I = 100
- 34.10 deg, d = 2.629 Å, I = 23
- 34.89 deg, d = 2.571 Å, I = 51
- 44.06 deg, d = 2.055 Å, I = 24

```
28
Lattice="-3.1904 5.9243 6.3881 3.1904 -5.9243 6.3881 3.1904 5.9243 -6.3881" Properties=species:S:1:pos:R:3 pbc="T T T"
Ca 1.3763 0.5641 0.0000
Ca 3.9746 2.6355 -1.6187
Ca 3.9746 -2.6355 4.7695
Ca 0.0000 0.0000 3.1941
Ca 3.9746 2.6355 1.6187
Ca 0.7843 3.2888 1.6187
Ca 1.3763 -0.5641 6.3881
Ca 1.8141 6.4884 0.0000
Ca 2.4061 2.6355 4.7695
Ca -0.7843 3.2888 4.7695
Ca 0.0000 0.0000 9.5822
Ca -0.7843 8.5597 1.6187
Ca -0.7843 3.2888 8.0068
Ca 1.8141 5.3602 6.3881
Sn 3.1904 0.0000 3.1941
Sn 0.0000 5.9243 3.1941
N 4.4840 -1.3567 2.2537
N 2.4193 -4.1272 6.3881
N 1.8967 -1.3567 4.1344
N 1.8967 1.3567 2.2537
N 2.4193 4.1272 0.0000
N 1.2936 7.2809 -2.2537
N 1.8967 -1.3567 8.6419
N 0.7711 1.7971 6.3881
N 1.2936 4.5676 4.1344
N 1.2936 7.2809 2.2537
N 0.7711 10.0515 0.0000
N -1.2936 7.2809 4.1344
```

***

The following is a calculated powder diffractogram of Ba3LaI9. It was derived from a structure optimized by DFT (GGA-PBE), using λ = 1.5418 Å (Cu Kα).

Largest 10 diffraction maxima, low angle first, 2θ = 10–90°:
- 23.31 deg, d = 3.816 Å, I = 35
- 24.40 deg, d = 3.649 Å, I = 51
- 26.12 deg, d = 3.411 Å, I = 68
- 26.35 deg, d = 3.382 Å, I = 67
- 27.13 deg, d = 3.287 Å, I = 52
- 27.48 deg, d = 3.246 Å, I = 35
- 30.01 deg, d = 2.978 Å, I = 46
- 30.21 deg, d = 2.959 Å, I = 63
- 30.56 deg, d = 2.925 Å, I = 100
- 32.87 deg, d = 2.725 Å, I = 85

```
52
Lattice="8.6913 0.0000 0.0000 0.0000 8.0894 0.0000 -1.2325 0.0000 33.8768" Properties=species:S:1:pos:R:3 pbc="T T T"
Ba 0.0000 0.0210 0.0000
Ba -0.6162 8.0684 16.9384
Ba 3.7817 3.9033 8.8526
Ba 3.1655 4.1861 25.7910
Ba 3.8090 3.8301 16.9351
Ba 3.1928 4.2593 33.8735
Ba 4.5509 0.1440 12.9976
Ba 3.9347 7.9454 29.9360
Ba 4.5387 0.1169 21.0681
Ba 5.1549 7.9725 4.1297
Ba 8.1337 0.2443 8.7760
Ba 7.5175 7.8451 25.7144
La 0.3203 3.8816 13.0608
La -0.2960 4.2078 29.9992
La 0.2307 3.6714 21.1688
La 0.8470 4.4180 4.2305
I -0.0386 3.2299 33.3478
I 0.5776 4.8595 16.4094
I 0.2321 2.6962 27.0892
I 0.8483 5.3932 10.1508
I 1.3568 2.4068 6.7204
I 0.7406 5.6826 23.6588
I 1.9653 1.6416 10.9614
I 1.3491 6.4478 27.8998
I 1.8699 1.4883 14.8889
I 1.2537 6.6011 31.8273
I 1.7939 1.5190 19.1286
I 2.4102 6.5704 2.1902
I 2.2843 1.9792 23.0952
I 2.9005 6.1102 6.1568
I 3.5167 2.8792 3.1672
I 2.9005 5.2102 20.1056
I 2.7333 3.1775 30.3047
I 3.3495 4.9119 13.3663
I 4.1282 0.9015 33.6511
I 4.7444 7.1879 16.7127
I 4.5648 1.2196 26.8064
I 5.1810 6.8699 9.8680
I 5.7622 1.9242 6.8368
I 5.1460 6.1652 23.7752
I 6.5701 2.6127 11.0153
I 5.9539 5.4767 27.9537
I 6.4818 2.5035 14.9019
I 5.8656 5.5859 31.8403
I 6.4402 2.4504 19.1133
I 7.0564 5.6390 2.1749
I 6.8249 2.0787 23.0685
I 7.4412 6.0107 6.1301
I 7.0630 1.3129 30.3563
I 7.6792 6.7765 13.4179
I 8.0926 1.7069 3.1443
I 7.4764 6.3826 20.0827
```